This entry pairs a crystal structure of CrGaIrO6 with its computed PXRD pattern. Radiation: Cu Kα. Structure: a crystal structure in Alexandria, relaxed with PBE+U.

Largest 6 diffraction maxima, most intense first, 2θ = 10–80°:
2θ (°), Rel. int., hkl
27.7, 100, 1 1 0
35.2, 79, 1 0 3
54.0, 65, 2 1 3
21.8, 53, 1 0 1
39.6, 21, 2 0 0
69.0, 19, 3 0 3

Crystal structure
```
CrGaIrO6
1.0
4.554 0.000 0.000
0.000 4.554 0.000
0.000 0.000 9.225
Cr Ga Ir O
2 2 2 12
direct
0.000 0.000 0.000
0.500 0.500 0.500
0.000 0.000 0.333
0.500 0.500 0.833
0.000 0.000 0.666
0.500 0.500 0.166
0.193 0.193 0.832
0.194 0.194 0.501
0.202 0.202 0.166
0.298 0.702 0.666
0.306 0.694 0.001
0.307 0.693 0.332
0.693 0.307 0.332
0.694 0.306 0.001
0.702 0.298 0.666
0.798 0.798 0.166
0.806 0.806 0.501
0.807 0.807 0.832
```